Calculated powder diffractogram of Fe10O9F11 for CuKα, from a GGA+U-relaxed structure.

Peak list (6 most intense, 15° ≤ 2θ ≤ 90°, in order of rising 2θ)
| 2θ/deg | Rel. int. | (hkl) |
| --- | --- | --- |
| 25.12 | 100 | 0 2 0 |
| 27.31 | 88 | 2 0 0 |
| 34.60 | 47 | 1 1 -5 |
| 34.73 | 48 | 1 1 5 |
| 50.70 | 63 | 1 3 5 |
| 53.31 | 25 | 3 1 5 |

Cell: 6.531 7.090 15.357 Å, 90.00 90.33 90.00°
Space group C2 (No. 5)
Symmetry-distinct sites (fractional):
Fe 0.000 0.000 0.000 [2 per cell]
Fe 0.000 0.461 0.500 [2 per cell]
Fe 0.001 0.499 0.095 [4 per cell]
Fe 0.006 0.999 0.197 [4 per cell]
Fe 0.011 0.505 0.290 [4 per cell]
Fe 0.031 0.010 0.596 [4 per cell]
O 0.000 0.187 0.500 [2 per cell]
O 0.178 0.499 0.400 [4 per cell]
O 0.196 0.499 0.000 [4 per cell]
O 0.198 0.501 0.797 [4 per cell]
O 0.208 0.501 0.200 [4 per cell]
F 0.000 0.811 0.500 [2 per cell]
F 0.002 0.192 0.696 [4 per cell]
F 0.003 0.203 0.108 [4 per cell]
F 0.003 0.797 0.108 [4 per cell]
F 0.003 0.812 0.694 [4 per cell]
F 0.212 0.494 0.599 [4 per cell]